For PmYTm2Th, a cell relaxed with GGA-PBE gives the calculated powder diffractogram in this record (copper Kα).

Largest 8 diffraction maxima, low angle first, 10 to 90 degrees two-theta:
two_theta  d (Å)  I_rel
15.8  5.601  36
31.1  2.878  26
31.6  2.827  100
32.0  2.800  42
35.1  2.560  25
36.5  2.459  44
56.8  1.622  19
62.0  1.496  34

Cell and atoms:
```
5
Lattice="3.5400 0.0000 0.0000 0.0000 5.6009 0.0000 0.0000 0.0000 8.6343" Properties=species:S:1:pos:R:3 pbc="T T T"
Pm 0.0000 0.0000 0.0000
Y 1.7700 0.0000 4.3171
Tm 0.0000 2.8004 2.7751
Tm 0.0000 2.8004 5.8592
Th 1.7700 2.8004 0.0000
```

***

For PmY2TmTh, a cell relaxed with GGA-PBE gives the calculated powder diffractogram in this record (copper Kα).

Largest 8 diffraction maxima, low angle first, 10 to 90 degrees two-theta:
two_theta  d (Å)  I_rel
20.7  4.281  89
27.6  3.236  49
29.9  2.988  100
30.2  2.960  55
31.9  2.803  43
32.5  2.756  51
34.8  2.580  56
42.6  2.122  41

Cell and atoms:
```
10
Lattice="8.6290 0.0000 0.0000 0.0000 6.3776 0.0000 -0.7821 0.0000 6.2399" Properties=species:S:1:pos:R:3 pbc="T T T"
Pm 0.0000 0.0000 0.0000
Pm -0.3911 0.0000 3.1199
Y 2.5489 1.9680 1.3270
Y 2.1578 4.4095 4.4469
Y 5.6891 1.9680 1.7930
Y 5.2980 4.4095 4.9129
Tm 3.7279 1.1229 4.6799
Tm 4.1190 5.2547 1.5600
Th -0.5866 2.8700 4.6799
Th -0.1955 3.5076 1.5600
```

***

For PmTh2V, a cell relaxed with GGA-PBE gives the calculated powder diffractogram in this record (copper Kα).

Largest 8 diffraction maxima, low angle first, 10 to 90 degrees two-theta:
two_theta  d (Å)  I_rel
15.3  5.794  46
30.4  2.939  45
30.7  2.908  100
30.9  2.897  60
33.0  2.715  79
35.4  2.536  95
47.9  1.900  50
63.3  1.468  59

Cell and atoms:
```
4
Lattice="1.7028 0.9831 11.5877 -1.7028 0.9831 11.5877 0.0000 -1.9663 11.5877" Properties=species:S:1:pos:R:3 pbc="T T T"
Pm 0.0000 0.0000 0.0000
Th 0.0000 0.0000 14.6846
Th 0.0000 0.0000 20.0784
V 0.0000 0.0000 17.3815
```

***

For Pm3YTh3, a cell relaxed with GGA-PBE gives the calculated powder diffractogram in this record (copper Kα).

Largest 8 diffraction maxima, low angle first, 10 to 90 degrees two-theta:
two_theta  d (Å)  I_rel
28.4  3.141  24
30.3  2.948  26
32.3  2.772  100
42.0  2.149  17
50.3  1.814  20
55.1  1.666  22
59.9  1.545  22
61.1  1.518  17

Cell and atoms:
```
14
Lattice="9.5962 0.0000 0.0000 -4.7981 8.3106 0.0000 0.0000 0.0000 5.8954" Properties=species:S:1:pos:R:3 pbc="T T T"
Pm -3.4268 6.6554 1.4739
Pm 0.7478 2.0153 1.4739
Pm 2.1192 0.3600 4.4216
Pm 2.6789 7.9506 1.4739
Pm 4.0503 6.2953 4.4216
Pm 8.2249 1.6552 4.4216
Y 0.0000 5.5404 1.4739
Y 4.7981 2.7702 4.4216
Th -1.9457 5.1081 4.4216
Th 1.3472 4.0715 4.4216
Th 4.1996 0.8690 1.4739
Th 0.5985 7.4416 4.4216
Th 3.4509 4.2391 1.4739
Th 6.7439 3.2025 1.4739
```

***

For PmY3Th2, a cell relaxed with GGA-PBE gives the calculated powder diffractogram in this record (copper Kα).

Largest 8 diffraction maxima, low angle first, 10 to 90 degrees two-theta:
two_theta  d (Å)  I_rel
12.6  7.039  34
29.4  3.037  42
30.0  2.976  50
30.1  2.967  30
32.2  2.777  100
32.6  2.750  87
34.1  2.630  17
50.2  1.818  32

Cell and atoms:
```
12
Lattice="8.6028 0.0000 0.0000 0.0000 3.6354 0.0000 -0.2575 0.0000 12.6091" Properties=species:S:1:pos:R:3 pbc="T T T"
Pm 1.5344 0.9088 3.1794
Pm 6.8109 2.7265 9.4297
Y 0.5996 0.9088 11.2740
Y 2.8654 2.7265 5.7642
Y 3.2247 2.7265 9.4151
Y 5.1206 0.9088 3.1940
Y 5.4799 0.9088 6.8450
Y 7.7457 2.7265 1.3351
Th 0.5922 0.9088 7.6379
Th 3.1112 2.7265 0.6928
Th 5.2342 0.9088 11.9163
Th 7.7531 2.7265 4.9712
```

***

For Pm5Y2Th3, a cell relaxed with GGA-PBE gives the calculated powder diffractogram in this record (copper Kα).

Largest 8 diffraction maxima, low angle first, 10 to 90 degrees two-theta:
two_theta  d (Å)  I_rel
30.3  2.948  100
35.1  2.557  34
35.3  2.545  17
50.5  1.808  12
50.6  1.804  24
60.0  1.542  22
60.3  1.536  14
63.1  1.474  13

Cell and atoms:
```
10
Lattice="5.7231 -2.5447 0.0000 5.7231 2.5447 0.0000 -0.0096 0.0000 11.4277" Properties=species:S:1:pos:R:3 pbc="T T T"
Pm 0.0000 0.0000 0.0000
Pm 2.2832 0.0000 4.5860
Pm 3.4560 0.0000 1.1722
Pm 7.9806 0.0000 10.2555
Pm 9.1534 0.0000 6.8416
Y 4.5870 0.0000 9.0808
Y 6.8497 0.0000 2.3469
Th 1.1111 0.0000 7.9737
Th 5.7183 0.0000 5.7138
Th 10.3255 0.0000 3.4540
```